SrGePt2: theoretical XRD peak list (Cu Kα (weighted mean of Kα1 and Kα2)), based on a GGA-PBE-relaxed structure.
Peak positions follow from Bragg's law for the DFT cell and can differ from measured ones.

Peak list (12 most intense, 2θ = 10–90°, low angle first)
| h k l | 2theta | d/Å | I_rel |
| --- | --- | --- | --- |
| 1 0 1 | 18.9 | 4.706 | 60.2 |
| 0 0 2 | 30.3 | 2.953 | 31.8 |
| 1 2 1 | 31.7 | 2.824 | 41.5 |
| 1 0 2 | 32.4 | 2.763 | 62.2 |
| 2 2 0 | 34.3 | 2.614 | 38.7 |
| 1 1 2 | 34.9 | 2.573 | 58.4 |
| 2 2 1 | 37.6 | 2.391 | 56.4 |
| 3 0 1 | 37.9 | 2.374 | 100.0 |
| 1 2 2 | 41.5 | 2.176 | 71.4 |
| 1 3 1 | 43.0 | 2.105 | 66.3 |
| 2 3 0 | 45.0 | 2.014 | 42.0 |
| 4 3 0 | 61.8 | 1.501 | 48.0 |

Cell and atoms:
```
data_SrGePt2
_chemical_formula_sum 'Sr4 Ge4 Pt8'
_space_group_name_H-M_alt 'P n m a'
_space_group_IT_number 62
_cell_length_a 7.779
_cell_length_b 7.062
_cell_length_c 5.911
_cell_angle_alpha 90.00
_cell_angle_beta 90.00
_cell_angle_gamma 90.00
loop_
_space_group_symop_operation_xyz
'x,y,z'
'-x,-y,-z'
'-x+1/2,-y,z+1/2'
'x+1/2,y,-z+1/2'
'x+1/2,-y+1/2,-z+1/2'
'-x+1/2,y+1/2,z+1/2'
'-x,y+1/2,-z'
'x,-y+1/2,z'
loop_
_atom_site_label
_atom_site_type_symbol
_atom_site_fract_x
_atom_site_fract_y
_atom_site_fract_z
Sr1 Sr 0.022 0.250 0.132
Ge1 Ge 0.132 0.750 0.365
Pt1 Pt 0.166 0.055 0.595
```

=====

Li2B3C3: theoretical XRD peak list (Cu Kα (weighted mean of Kα1 and Kα2)), based on a GGA-PBE-relaxed structure.
Peak positions follow from Bragg's law for the DFT cell and can differ from measured ones.

Peak list (12 most intense, 2θ = 10–90°, low angle first)
| h k l | 2theta | d/Å | I_rel |
| --- | --- | --- | --- |
| 0 2 1 | 17.5 | 5.056 | 5.4 |
| 0 0 2 | 24.5 | 3.640 | 100.0 |
| 1 3 0 | 38.3 | 2.353 | 6.0 |
| 0 6 0 | 38.4 | 2.343 | 3.4 |
| 1 3 2 | 45.9 | 1.976 | 29.6 |
| 0 6 2 | 46.1 | 1.970 | 14.4 |
| 0 0 4 | 50.1 | 1.820 | 15.1 |
| 2 0 0 | 69.0 | 1.360 | 5.2 |
| 1 9 0 | 69.4 | 1.355 | 9.2 |
| 2 0 2 | 74.5 | 1.274 | 3.1 |
| 1 9 2 | 74.8 | 1.269 | 6.7 |
| 2 6 2 | 87.1 | 1.119 | 3.6 |

Cell and atoms:
```
data_Li2B3C3
_chemical_formula_sum 'Li8 B12 C12'
_space_group_name_H-M_alt 'C m c 21'
_space_group_IT_number 36
_cell_length_a 2.721
_cell_length_b 14.056
_cell_length_c 7.280
_cell_angle_alpha 90.00
_cell_angle_beta 90.00
_cell_angle_gamma 90.00
loop_
_space_group_symop_operation_xyz
'x,y,z'
'-x,-y,z+1/2'
'-x,y,z'
'x,-y,z+1/2'
'x+1/2,y+1/2,z'
'-x+1/2,-y+1/2,z+1/2'
'-x+1/2,y+1/2,z'
'x+1/2,-y+1/2,z+1/2'
loop_
_atom_site_label
_atom_site_type_symbol
_atom_site_fract_x
_atom_site_fract_y
_atom_site_fract_z
Li1 Li 0.000 0.013 0.000
Li2 Li 0.000 0.323 0.011
B1 B 0.000 0.115 0.261
B2 B 0.000 0.219 0.764
B3 B 0.000 0.447 0.242
C1 C 0.000 0.108 0.739
C2 C 0.000 0.226 0.271
C3 C 0.000 0.442 0.756
```

=====

Y2Ga3Rh: theoretical XRD peak list (Cu Kα (weighted mean of Kα1 and Kα2)), based on a GGA-PBE-relaxed structure.
Peak positions follow from Bragg's law for the DFT cell and can differ from measured ones.

Peak list (12 most intense, 2θ = 10–90°, low angle first)
| h k l | 2theta | d/Å | I_rel |
| --- | --- | --- | --- |
| 1 1 1 | 33.1 | 2.706 | 36.1 |
| 0 0 2 | 33.6 | 2.665 | 57.9 |
| 1 1 -2 | 34.4 | 2.604 | 85.5 |
| 4 0 -2 | 34.6 | 2.591 | 32.3 |
| 3 1 -2 | 34.9 | 2.570 | 67.1 |
| 2 0 -3 | 39.6 | 2.277 | 17.0 |
| 4 0 -3 | 40.2 | 2.243 | 25.1 |
| 3 1 0 | 40.4 | 2.235 | 100.0 |
| 0 2 0 | 41.7 | 2.165 | 60.9 |
| 4 2 -2 | 55.3 | 1.661 | 16.2 |
| 7 1 -3 | 66.5 | 1.406 | 21.6 |
| 3 3 0 | 75.2 | 1.263 | 22.2 |

Cell and atoms:
```
data_Y2Ga3Rh
_chemical_formula_sum 'Y4 Ga6 Rh2'
_space_group_name_H-M_alt 'C 1 m 1'
_space_group_IT_number 8
_cell_length_a 10.417
_cell_length_b 4.330
_cell_length_c 7.084
_cell_angle_alpha 90.00
_cell_angle_beta 131.29
_cell_angle_gamma 90.00
loop_
_space_group_symop_operation_xyz
'x,y,z'
'x,-y,z'
'x+1/2,y+1/2,z'
'x+1/2,-y+1/2,z'
loop_
_atom_site_label
_atom_site_type_symbol
_atom_site_fract_x
_atom_site_fract_y
_atom_site_fract_z
Y1 Y 0.000 0.000 0.000
Y2 Y 0.094 0.000 0.602
Ga1 Ga 0.203 0.500 0.000
Ga2 Ga 0.216 0.500 0.415
Ga3 Ga 0.381 0.000 0.208
Rh1 Rh 0.386 0.000 0.602
```

=====

Fe2PdRh6: theoretical XRD peak list (Cu Kα (weighted mean of Kα1 and Kα2)), based on a GGA-PBE-relaxed structure.
Peak positions follow from Bragg's law for the DFT cell and can differ from measured ones.

Peak list (12 most intense, 2θ = 10–90°, low angle first)
| h k l | 2theta | d/Å | I_rel |
| --- | --- | --- | --- |
| 3 1 0 | 40.9 | 2.206 | 100.0 |
| 2 0 3 | 47.3 | 1.920 | 16.2 |
| 0 2 0 | 47.5 | 1.915 | 16.1 |
| 4 0 -3 | 48.0 | 1.896 | 15.6 |
| 2 2 3 | 69.3 | 1.356 | 10.0 |
| 6 0 0 | 69.8 | 1.348 | 14.7 |
| 1 1 6 | 83.6 | 1.157 | 5.9 |
| 5 1 3 | 83.7 | 1.156 | 5.9 |
| 3 3 0 | 83.8 | 1.154 | 11.8 |
| 7 1 -3 | 84.6 | 1.146 | 11.6 |
| 2 2 -6 | 88.6 | 1.103 | 5.2 |
| 6 2 0 | 88.7 | 1.102 | 5.4 |

Cell and atoms:
```
data_Fe2PdRh6
_chemical_formula_sum 'Fe4 Pd2 Rh12'
_space_group_name_H-M_alt 'C 1 2/m 1'
_space_group_IT_number 12
_cell_length_a 8.497
_cell_length_b 3.830
_cell_length_c 8.102
_cell_angle_alpha 90.00
_cell_angle_beta 107.82
_cell_angle_gamma 90.00
loop_
_space_group_symop_operation_xyz
'x,y,z'
'-x,-y,-z'
'-x,y,-z'
'x,-y,z'
'x+1/2,y+1/2,z'
'-x+1/2,-y+1/2,-z'
'-x+1/2,y+1/2,-z'
'x+1/2,-y+1/2,z'
loop_
_atom_site_label
_atom_site_type_symbol
_atom_site_fract_x
_atom_site_fract_y
_atom_site_fract_z
Fe1 Fe 0.170 0.000 0.222
Pd1 Pd 0.000 0.500 0.000
Rh1 Rh 0.000 0.500 0.334
Rh2 Rh 0.165 0.000 0.885
Rh3 Rh 0.168 0.000 0.555
```

=====

Rb3Tm3VS8: theoretical XRD peak list (Cu Kα (weighted mean of Kα1 and Kα2)), based on a GGA-PBE-relaxed structure.
Peak positions follow from Bragg's law for the DFT cell and can differ from measured ones.

Peak list (12 most intense, 2θ = 10–90°, low angle first)
| h k l | 2theta | d/Å | I_rel |
| --- | --- | --- | --- |
| 0 0 3 | 11.3 | 7.833 | 55.8 |
| 0 1 2 | 15.2 | 5.828 | 18.9 |
| 0 0 6 | 22.7 | 3.917 | 26.6 |
| 2 0 2 | 27.6 | 3.227 | 37.9 |
| 0 2 4 | 30.7 | 2.914 | 100.0 |
| 0 2 7 | 37.9 | 2.373 | 13.7 |
| 2 0 8 | 40.8 | 2.210 | 35.6 |
| 2 2 0 | 46.9 | 1.938 | 31.4 |
| 0 2 10 | 47.2 | 1.925 | 17.3 |
| 2 2 6 | 52.7 | 1.737 | 17.9 |
| 4 0 4 | 57.1 | 1.613 | 15.8 |
| 2 0 14 | 61.8 | 1.501 | 13.5 |

Cell and atoms:
```
data_Rb3Tm3VS8
_chemical_formula_sum 'Rb9 Tm9 V3 S24'
_space_group_name_H-M_alt 'R -3 m'
_space_group_IT_number 166
_space_group_name_Hall '-R 3 2"'
_cell_length_a 7.7502
_cell_length_b 7.7502
_cell_length_c 23.4991
_cell_angle_alpha 90.00
_cell_angle_beta 90.00
_cell_angle_gamma 120.00
loop_
_atom_site_label
_atom_site_type_symbol
_atom_site_fract_x
_atom_site_fract_y
_atom_site_fract_z
Rb1 Rb 0.0000 0.5000 0.0000
Tm1 Tm 0.0000 0.5000 0.5000
V1 V 0.0000 0.0000 0.5000
S1 S 0.0000 0.0000 0.2303
S2 S 0.0277 0.5138 0.2257
```

=====

Th15TlIn4: theoretical XRD peak list (Cu Kα (weighted mean of Kα1 and Kα2)), based on a GGA-PBE-relaxed structure.
Peak positions follow from Bragg's law for the DFT cell and can differ from measured ones.

Peak list (12 most intense, 2θ = 10–90°, low angle first)
| h k l | 2theta | d/Å | I_rel |
| --- | --- | --- | --- |
| 1 0 0 | 17.9 | 4.954 | 3.4 |
| 1 1 0 | 25.4 | 3.503 | 3.0 |
| 1 1 5 | 31.3 | 2.860 | 100.0 |
| 2 0 0 | 36.3 | 2.477 | 50.8 |
| 2 2 0 | 52.2 | 1.752 | 36.5 |
| 3 1 5 | 62.1 | 1.494 | 43.6 |
| 2 2 10 | 65.2 | 1.430 | 12.6 |
| 4 0 0 | 77.0 | 1.239 | 4.0 |
| 0 0 20 | 77.1 | 1.238 | 2.0 |
| 3 3 5 | 85.4 | 1.137 | 18.7 |
| 4 2 0 | 88.2 | 1.108 | 5.9 |
| 4 0 10 | 88.2 | 1.108 | 11.7 |

Cell and atoms:
```
data_Th15TlIn4
_chemical_formula_sum 'Th15 Tl1 In4'
_space_group_name_H-M_alt 'P 4/m m m'
_space_group_IT_number 123
_space_group_name_Hall '-P 4 2'
_cell_length_a 4.956
_cell_length_b 4.956
_cell_length_c 24.753
_cell_angle_alpha 90.00
_cell_angle_beta 90.00
_cell_angle_gamma 90.00
loop_
_atom_site_label
_atom_site_type_symbol
_atom_site_fract_x
_atom_site_fract_y
_atom_site_fract_z
Th1 Th 0.000 0.000 0.000
Th2 Th 0.000 0.000 0.200
Th3 Th 0.000 0.000 0.400
Th4 Th 0.000 0.500 0.101
Th5 Th 0.000 0.500 0.300
Th6 Th 0.000 0.500 0.500
Tl1 Tl 0.500 0.500 0.000
In1 In 0.500 0.500 0.200
In2 In 0.500 0.500 0.400
```

=====

Li14TlGa: theoretical XRD peak list (Cu Kα (weighted mean of Kα1 and Kα2)), based on a GGA-PBE-relaxed structure.
Peak positions follow from Bragg's law for the DFT cell and can differ from measured ones.

Peak list (12 most intense, 2θ = 10–90°, low angle first)
| h k l | 2theta | d/Å | I_rel |
| --- | --- | --- | --- |
| 1 0 0 | 12.8 | 6.931 | 41.0 |
| 0 0 1 | 14.4 | 6.167 | 77.1 |
| 1 1 0 | 18.1 | 4.901 | 89.0 |
| 1 0 1 | 19.3 | 4.607 | 34.5 |
| 1 1 1 | 23.2 | 3.837 | 100.0 |
| 2 0 0 | 25.7 | 3.466 | 39.0 |
| 2 0 1 | 29.6 | 3.021 | 53.1 |
| 1 1 2 | 34.4 | 2.610 | 37.1 |
| 2 2 0 | 36.7 | 2.451 | 26.7 |
| 2 0 2 | 39.1 | 2.304 | 44.6 |
| 2 2 1 | 39.6 | 2.277 | 26.1 |
| 3 1 1 | 43.8 | 2.065 | 37.9 |

Cell and atoms:
```
data_Li14TlGa
_chemical_formula_sum 'Li14 Tl1 Ga1'
_space_group_name_H-M_alt 'P 4/m m m'
_space_group_IT_number 123
_space_group_name_Hall '-P 4 2'
_cell_length_a 6.931
_cell_length_b 6.931
_cell_length_c 6.167
_cell_angle_alpha 90.00
_cell_angle_beta 90.00
_cell_angle_gamma 90.00
loop_
_atom_site_label
_atom_site_type_symbol
_atom_site_fract_x
_atom_site_fract_y
_atom_site_fract_z
Li1 Li 0.000 0.000 0.000
Li2 Li 0.000 0.500 0.000
Li3 Li 0.000 0.500 0.500
Li4 Li 0.242 0.242 0.266
Li5 Li 0.500 0.500 0.000
Tl1 Tl 0.500 0.500 0.500
Ga1 Ga 0.000 0.000 0.500
```

=====

Pm3TmIn: theoretical XRD peak list (Cu Kα (weighted mean of Kα1 and Kα2)), based on a GGA-PBE-relaxed structure.
Peak positions follow from Bragg's law for the DFT cell and can differ from measured ones.

Peak list (12 most intense, 2θ = 10–90°, low angle first)
| h k l | 2theta | d/Å | I_rel |
| --- | --- | --- | --- |
| 1 2 1 | 29.7 | 3.012 | 97.0 |
| 1 1 2 | 32.0 | 2.800 | 100.0 |
| 2 0 0 | 32.9 | 2.722 | 53.2 |
| 0 2 2 | 33.1 | 2.709 | 18.7 |
| 0 3 1 | 34.4 | 2.606 | 19.9 |
| 1 3 0 | 36.0 | 2.492 | 26.0 |
| 2 3 1 | 48.3 | 1.883 | 15.3 |
| 0 3 3 | 50.5 | 1.806 | 18.5 |
| 3 2 1 | 56.8 | 1.622 | 16.0 |
| 3 1 2 | 58.2 | 1.586 | 18.0 |
| 2 3 3 | 61.6 | 1.505 | 20.4 |
| 1 5 2 | 63.6 | 1.463 | 29.2 |

Cell and atoms:
```
data_Pm3TmIn
_chemical_formula_sum 'Pm6 Tm2 In2'
_space_group_name_H-M_alt 'P m m n'
_space_group_IT_number 59
_cell_length_a 5.444
_cell_length_b 8.409
_cell_length_c 7.085
_cell_angle_alpha 90.00
_cell_angle_beta 90.00
_cell_angle_gamma 90.00
loop_
_space_group_symop_operation_xyz
'x,y,z'
'-x,-y,-z'
'-x+1/2,-y+1/2,z'
'x+1/2,y+1/2,-z'
'x+1/2,-y,-z'
'-x+1/2,y,z'
'-x,y+1/2,-z'
'x,-y+1/2,z'
loop_
_atom_site_label
_atom_site_type_symbol
_atom_site_fract_x
_atom_site_fract_y
_atom_site_fract_z
Pm1 Pm 0.250 0.061 0.222
Pm2 Pm 0.250 0.250 0.718
Tm1 Tm 0.250 0.750 0.556
In1 In 0.250 0.750 0.978
```

=====

Question: What is the formula in the fifth record?
Answer: Rb3Tm3VS8